For Mn2InPd9, a structure optimized by DFT (GGA-PBE) gives the calculated XRD peak list in this record (Cu Kα (weighted mean of Kα1 and Kα2)).
No peak broadening, texture or thermal motion is included.

Crystal structure
a = 3.961 Å, b = 3.961 Å, c = 11.876 Å
α = 90.00°, β = 90.00°, γ = 90.00°
Space group P4/mmm (No. 123)
Unique sites:
1 Mn 0.000 0.000 0.164 [2 per cell]
2 In 0.000 0.000 0.500 [1 per cell]
3 Pd 0.000 0.500 0.000 [2 per cell]
4 Pd 0.000 0.500 0.326 [4 per cell]
5 Pd 0.500 0.500 0.163 [2 per cell]
6 Pd 0.500 0.500 0.500 [1 per cell]

Main lines, in order of rising 2θ (2θ from 10° to 80°):
2θ (°), intensity, hkl
22.45, 2.0, 1 0 0
23.68, 1.1, 1 0 1
31.96, 1.7, 1 1 0
35.43, 1.1, 1 1 2
37.88, 1.0, 0 0 5
39.41, 100.0, 1 1 3
45.82, 48.2, 2 0 0
51.61, 0.9, 2 1 0
60.90, 0.8, 2 0 5
66.81, 29.8, 2 2 0


For NaScPb4, a structure optimized by DFT (GGA-PBE) gives the calculated XRD peak list in this record (Cu Kα (weighted mean of Kα1 and Kα2)).
No peak broadening, texture or thermal motion is included.

Crystal structure
a = 3.408 Å, b = 3.438 Å, c = 14.953 Å
α = 90.00°, β = 90.34°, γ = 90.00°
Space group P2/m (No. 10)
Unique sites:
1 Na 0.000 0.000 0.000 [1 per cell]
2 Sc 0.000 0.500 0.500 [1 per cell]
3 Pb 0.498 0.000 0.360 [2 per cell]
4 Pb 0.499 0.500 0.167 [2 per cell]

Main lines, in order of rising 2θ (2θ from 10° to 80°):
2θ (°), intensity, hkl
11.84, 29.4, 0 0 2
23.80, 36.9, 0 0 4
26.15, 63.5, 1 0 0
26.60, 33.7, 0 1 1
31.61, 100.0, 0 1 3
35.53, 26.3, 1 0 -4
36.04, 24.8, 0 0 6
37.65, 51.0, 1 1 -1
41.40, 33.9, 1 1 -3
41.54, 34.1, 1 1 3


For Nb2Sb2O7, a structure optimized by DFT (GGA-PBE) gives the calculated XRD peak list in this record (Cu Kα (weighted mean of Kα1 and Kα2)).
No peak broadening, texture or thermal motion is included.

Crystal structure
a = 7.037 Å, b = 8.217 Å, c = 6.270 Å
α = 90.00°, β = 93.51°, γ = 90.00°
Space group C2/m (No. 12)
Unique sites:
1 Nb 0.238 0.000 0.085 [4 per cell]
2 Sb 0.000 0.182 0.500 [4 per cell]
3 O 0.000 0.500 0.000 [2 per cell]
4 O 0.081 0.000 0.825 [4 per cell]
5 O 0.241 0.187 0.263 [8 per cell]

Main lines, in order of rising 2θ (2θ from 10° to 80°):
2θ (°), intensity, hkl
16.60, 37.7, 1 1 0
22.39, 44.5, 1 1 1
25.94, 100.0, 0 2 1
28.37, 43.0, 2 0 -1
28.53, 20.6, 0 0 2
29.93, 36.1, 2 0 1
32.49, 20.6, 1 1 -2
33.57, 27.4, 2 2 0
46.41, 26.7, 1 3 2
58.47, 22.6, 3 3 -2


For PaBiSe, a structure optimized by DFT (GGA-PBE) gives the calculated XRD peak list in this record (Cu Kα (weighted mean of Kα1 and Kα2)).
No peak broadening, texture or thermal motion is included.

Crystal structure
a = 4.289 Å, b = 4.289 Å, c = 17.533 Å
α = 90.00°, β = 90.00°, γ = 90.00°
Space group I4/mmm (No. 139)
Unique sites:
1 Pa 0.000 0.000 0.153 [4 per cell]
2 Bi 0.000 0.500 0.000 [4 per cell]
3 Se 0.000 0.000 0.319 [4 per cell]

Main lines, in order of rising 2θ (2θ from 10° to 80°):
2θ (°), intensity, hkl
25.76, 27.9, 1 0 3
30.59, 51.5, 0 0 6
31.20, 100.0, 1 1 2
36.01, 92.3, 1 1 4
42.13, 51.7, 2 0 0
52.96, 45.5, 2 0 6
61.07, 39.1, 2 2 0
69.88, 20.2, 2 2 6
70.21, 20.4, 3 1 2
73.02, 24.8, 3 1 4


For Ho3Ga4, a structure optimized by DFT (GGA-PBE) gives the calculated XRD peak list in this record (Cu Kα (weighted mean of Kα1 and Kα2)).
No peak broadening, texture or thermal motion is included.

Crystal structure
a = 4.116 Å, b = 4.226 Å, c = 18.161 Å
α = 90.00°, β = 90.00°, γ = 90.00°
Space group Immm (No. 71)
Unique sites:
1 Ho 0.000 0.000 0.000 [2 per cell]
2 Ho 0.000 0.500 0.315 [4 per cell]
3 Ga 0.000 0.000 0.433 [4 per cell]
4 Ga 0.000 0.500 0.147 [4 per cell]

Main lines, in order of rising 2θ (2θ from 10° to 80°):
2θ (°), intensity, hkl
26.18, 24.7, 1 0 3
29.51, 18.0, 0 0 6
31.91, 100.0, 1 1 2
32.51, 50.9, 0 1 5
36.33, 22.0, 1 1 4
41.13, 26.8, 1 0 7
42.81, 41.1, 0 2 0
44.00, 23.0, 2 0 0
55.76, 22.0, 2 1 5
60.86, 16.6, 1 2 7


For DyYEr2Tl2, a structure optimized by DFT (GGA-PBE) gives the calculated XRD peak list in this record (Cu Kα (weighted mean of Kα1 and Kα2)).
No peak broadening, texture or thermal motion is included.

Crystal structure
a = 5.063 Å, b = 9.918 Å, c = 6.824 Å
α = 90.00°, β = 90.00°, γ = 90.00°
Space group Pmc2_1 (No. 26)
Unique sites:
1 Dy 0.000 0.190 0.000 [2 per cell]
2 Y 0.500 0.044 0.282 [2 per cell]
3 Er 0.000 0.457 0.377 [2 per cell]
4 Er 0.500 0.313 0.661 [2 per cell]
5 Tl 0.000 0.134 0.538 [2 per cell]
6 Tl 0.500 0.369 0.122 [2 per cell]

Main lines, in order of rising 2θ (2θ from 10° to 80°):
2θ (°), intensity, hkl
30.03, 17.8, 0 3 1
31.62, 65.7, 1 0 2
31.84, 19.1, 0 2 2
32.34, 100.0, 1 3 0
32.92, 76.9, 1 1 2
34.98, 41.8, 1 3 1
35.46, 59.8, 2 0 0
37.90, 27.5, 0 3 2
52.87, 21.2, 2 3 2
61.71, 15.9, 3 3 0


For CeTmCo2H8, a structure optimized by DFT (GGA-PBE) gives the calculated XRD peak list in this record (Cu Kα (weighted mean of Kα1 and Kα2)).
No peak broadening, texture or thermal motion is included.

Crystal structure
a = 4.4167 Å, b = 4.4167 Å, c = 18.1367 Å
α = 90.00°, β = 90.00°, γ = 120.00°
Space group R-3m (No. 166, hexagonal axes)
Unique sites:
1 Ce 0.0000 0.0000 0.0000 [3 per cell]
2 Tm 0.0000 0.0000 0.5000 [3 per cell]
3 Co 0.0000 0.0000 0.2692 [6 per cell]
4 H 0.0000 0.0000 0.3605 [6 per cell]
5 H 0.0181 0.5090 0.5556 [18 per cell]

Main lines, in order of rising 2θ (2θ from 10° to 80°):
2θ (°), intensity, hkl
25.27, 31.1, 0 1 2
29.55, 9.3, 0 0 6
30.58, 100.0, 1 0 4
40.86, 49.3, 1 1 0
46.57, 26.5, 0 1 8
51.23, 13.3, 1 1 6
51.89, 22.7, 0 2 4
63.66, 9.9, 2 0 8
68.07, 19.7, 2 1 4
78.46, 11.0, 1 2 8


For Sc2B4Ru5, a structure optimized by DFT (GGA-PBE) gives the calculated XRD peak list in this record (Cu Kα (weighted mean of Kα1 and Kα2)).
No peak broadening, texture or thermal motion is included.

Crystal structure
a = 8.556 Å, b = 10.077 Å, c = 3.001 Å
α = 90.00°, β = 90.00°, γ = 90.00°
Space group Pbam (No. 55)
Unique sites:
1 Sc 0.157 0.181 0.000 [4 per cell]
2 B 0.036 0.588 0.000 [4 per cell]
3 B 0.147 0.898 0.000 [4 per cell]
4 Ru 0.000 0.000 0.500 [2 per cell]
5 Ru 0.096 0.738 0.500 [4 per cell]
6 Ru 0.161 0.452 0.500 [4 per cell]

Main lines, in order of rising 2θ (2θ from 10° to 80°):
2θ (°), intensity, hkl
29.77, 91.3, 0 0 1
32.63, 54.7, 3 1 0
33.93, 70.7, 2 3 0
35.64, 41.0, 0 4 0
37.20, 49.7, 1 4 0
37.69, 49.3, 2 1 1
41.55, 54.7, 3 3 0
44.75, 98.6, 3 1 1
45.76, 100.0, 2 3 1
47.10, 54.5, 0 4 1


For TmP3O9, a structure optimized by DFT (GGA-PBE) gives the calculated XRD peak list in this record (Cu Kα (weighted mean of Kα1 and Kα2)).
No peak broadening, texture or thermal motion is included.

Crystal structure
a = 8.432 Å, b = 10.968 Å, c = 7.167 Å
α = 90.00°, β = 90.00°, γ = 90.00°
Space group C222_1 (No. 20)
Unique sites:
1 Tm 0.127 0.000 0.000 [4 per cell]
2 P 0.014 0.321 0.459 [8 per cell]
3 P 0.249 0.000 0.500 [4 per cell]
4 O 0.000 0.370 0.250 [4 per cell]
5 O 0.017 0.187 0.029 [8 per cell]
6 O 0.137 0.389 0.950 [8 per cell]
7 O 0.151 0.020 0.675 [8 per cell]
8 O 0.164 0.372 0.537 [8 per cell]

Main lines, in order of rising 2θ (2θ from 10° to 80°):
2θ (°), intensity, hkl
13.24, 53.0, 1 1 0
16.16, 83.7, 0 2 0
18.15, 56.8, 1 1 1
24.50, 48.5, 2 0 1
24.85, 100.0, 0 0 2
26.60, 94.8, 1 3 0
29.48, 80.6, 2 2 1
35.26, 35.8, 3 1 1
36.72, 38.3, 1 3 2
46.73, 39.2, 2 2 3


For Ho2Tm6Tl, a structure optimized by DFT (GGA-PBE) gives the calculated XRD peak list in this record (Cu Kα (weighted mean of Kα1 and Kα2)).
No peak broadening, texture or thermal motion is included.

Crystal structure
a = 16.653 Å, b = 3.473 Å, c = 11.542 Å
α = 90.00°, β = 125.45°, γ = 90.00°
Space group C2/m (No. 12)
Unique sites:
1 Ho 0.167 0.000 0.318 [4 per cell]
2 Tm 0.052 0.500 0.753 [4 per cell]
3 Tm 0.112 0.000 0.553 [4 per cell]
4 Tm 0.226 0.500 0.109 [4 per cell]
5 Tl 0.000 0.500 0.000 [2 per cell]

Main lines, in order of rising 2θ (2θ from 10° to 80°):
2θ (°), intensity, hkl
29.46, 46.7, 1 1 1
30.42, 39.9, 3 1 -1
31.31, 36.6, 3 1 -2
32.28, 95.6, 2 0 -4
32.51, 49.0, 3 1 0
32.75, 97.4, 6 0 -3
32.87, 100.0, 4 0 1
34.96, 65.1, 3 1 -3
36.26, 43.6, 1 1 -3
63.50, 59.9, 4 2 1


For Er4Bi3P, a structure optimized by DFT (GGA-PBE) gives the calculated XRD peak list in this record (Cu Kα (weighted mean of Kα1 and Kα2)).
No peak broadening, texture or thermal motion is included.

Crystal structure
a = 8.730 Å, b = 12.247 Å, c = 4.289 Å
α = 90.00°, β = 90.00°, γ = 90.00°
Space group Cmmm (No. 65)
Unique sites:
1 Er 0.000 0.237 0.000 [4 per cell]
2 Er 0.228 0.000 0.500 [4 per cell]
3 Bi 0.000 0.500 0.000 [2 per cell]
4 Bi 0.250 0.250 0.500 [4 per cell]
5 P 0.000 0.000 0.000 [2 per cell]

Main lines, in order of rising 2θ (2θ from 10° to 80°):
2θ (°), intensity, hkl
29.18, 100.0, 2 0 1
41.37, 12.5, 4 0 0
41.74, 50.2, 2 4 1
42.13, 12.8, 0 0 2
51.42, 13.0, 4 4 0
52.06, 13.6, 0 4 2
60.51, 12.3, 4 0 2
68.56, 22.0, 4 4 2
75.69, 7.7, 6 4 1
76.75, 9.2, 2 4 3


For NaYMg14O16, a structure optimized by DFT (GGA-PBE) gives the calculated XRD peak list in this record (Cu Kα (weighted mean of Kα1 and Kα2)).
No peak broadening, texture or thermal motion is included.

Crystal structure
a = 4.343 Å, b = 8.632 Å, c = 8.730 Å
α = 90.00°, β = 90.00°, γ = 90.00°
Space group Pmmm (No. 47)
Unique sites:
1 Na 0.000 0.000 0.000 [1 per cell]
2 Y 0.000 0.000 0.500 [1 per cell]
3 Mg 0.000 0.255 0.239 [4 per cell]
4 Mg 0.000 0.500 0.000 [1 per cell]
5 Mg 0.000 0.500 0.500 [1 per cell]
6 Mg 0.500 0.000 0.232 [2 per cell]
7 Mg 0.500 0.249 0.000 [2 per cell]
8 Mg 0.500 0.262 0.500 [2 per cell]
9 Mg 0.500 0.500 0.246 [2 per cell]
10 O 0.000 0.000 0.250 [2 per cell]
11 O 0.000 0.261 0.500 [2 per cell]
12 O 0.000 0.266 0.000 [2 per cell]
13 O 0.000 0.500 0.252 [2 per cell]
14 O 0.500 0.000 0.000 [1 per cell]
15 O 0.500 0.000 0.500 [1 per cell]
16 O 0.500 0.250 0.251 [4 per cell]
17 O 0.500 0.500 0.000 [1 per cell]
18 O 0.500 0.500 0.500 [1 per cell]

Main lines, in order of rising 2θ (2θ from 10° to 80°):
2θ (°), intensity, hkl
14.43, 18.7, 0 1 1
22.87, 20.8, 1 0 1
35.83, 50.0, 1 2 2
41.37, 99.0, 0 0 4
41.59, 100.0, 2 0 0
41.86, 96.1, 0 4 0
60.10, 56.3, 2 0 4
60.31, 54.6, 0 4 4
60.48, 55.6, 2 4 0
75.92, 49.6, 2 4 4